[1]
The following is a simulated powder diffraction line list of Tb9Pm2Y3. It was derived from DFT lattice parameters and positions (GGA-PBE), using a wavelength of 1.5418 Å.

Top 8 peaks for 10 to 90 degrees two-theta, in order of rising 2θ:
2theta, intensity, index
31.03, 96, 0 3 0
31.10, 39, 2 -1 0
31.27, 100, 1 1 -2
31.42, 49, 2 -1 1
31.91, 84, 1 1 3
32.74, 65, -1 2 2
33.47, 42, 1 -2 2
34.60, 64, 2 2 1

Structural model:
```
data_Tb9Pm2Y3
_chemical_formula_sum 'Tb9 Pm2 Y3'
_cell_length_a 6.2475
_cell_length_b 8.7843
_cell_length_c 8.7913
_cell_angle_alpha 79.59
_cell_angle_beta 77.61
_cell_angle_gamma 87.72
_space_group_name_H-M_alt 'P -1'
_space_group_IT_number 2
_space_group_name_Hall '-P 1'
loop_
_atom_site_label
_atom_site_type_symbol
_atom_site_fract_x
_atom_site_fract_y
_atom_site_fract_z
_atom_site_occupancy
Tb1 Tb 0.0000 0.0000 0.0000 1
Tb2 Tb 0.0889 0.3131 0.1960 1
Tb3 Tb 0.1920 0.6150 0.3982 1
Tb4 Tb 0.3468 0.6652 0.9945 1
Tb5 Tb 0.4930 0.2482 0.4167 1
Pm1 Pm 0.4544 0.9696 0.2023 1
Y1 Y 0.0000 0.0000 0.5000 1
Y2 Y 0.2504 0.3781 0.7751 1
```



[2]
The following is a simulated powder diffraction line list of Ba2La3Se6. It was derived from DFT lattice parameters and positions (GGA-PBE), using a wavelength of 1.5418 Å.

Top 8 peaks for 10 to 90 degrees two-theta, in order of rising 2θ:
2theta, intensity, index
28.12, 100, 1 3 1
28.15, 49, 2 0 -2
39.44, 19, 2 0 2
39.54, 37, 1 3 -3
40.90, 55, 3 3 -1
50.42, 20, 2 6 -2
58.17, 17, 4 0 -4
66.84, 16, 5 3 -3

Structural model:
```
data_Ba2La3Se6
_chemical_formula_sum 'Ba4 La6 Se12'
_cell_length_a 7.6499
_cell_length_b 13.2286
_cell_length_c 7.9911
_cell_angle_alpha 90.00
_cell_angle_beta 108.45
_cell_angle_gamma 90.00
_space_group_name_H-M_alt 'C 1 2/m 1'
_space_group_IT_number 12
_space_group_name_Hall '-C 2y'
loop_
_atom_site_label
_atom_site_type_symbol
_atom_site_fract_x
_atom_site_fract_y
_atom_site_fract_z
_atom_site_occupancy
Ba1 Ba 0.0000 0.1676 0.0000 1
La1 La 0.0000 0.0000 0.5000 1
La2 La 0.0000 0.3360 0.5000 1
Se1 Se 0.2373 0.1688 0.7196 1
Se2 Se 0.2450 0.5000 0.7235 1
```



What did the second record say?
The following is a simulated powder diffraction line list of Ba2La3Se6. It was derived from DFT lattice parameters and positions (GGA-PBE), using a wavelength of 1.5418 Å.

Top 8 peaks for 10 to 90 degrees two-theta, in order of rising 2θ:
2theta, intensity, index
28.12, 100, 1 3 1
28.15, 49, 2 0 -2
39.44, 19, 2 0 2
39.54, 37, 1 3 -3
40.90, 55, 3 3 -1
50.42, 20, 2 6 -2
58.17, 17, 4 0 -4
66.84, 16, 5 3 -3

Structural model:
```
data_Ba2La3Se6
_chemical_formula_sum 'Ba4 La6 Se12'
_cell_length_a 7.6499
_cell_length_b 13.2286
_cell_length_c 7.9911
_cell_angle_alpha 90.00
_cell_angle_beta 108.45
_cell_angle_gamma 90.00
_space_group_name_H-M_alt 'C 1 2/m 1'
_space_group_IT_number 12
_space_group_name_Hall '-C 2y'
loop_
_atom_site_label
_atom_site_type_symbol
_atom_site_fract_x
_atom_site_fract_y
_atom_site_fract_z
_atom_site_occupancy
Ba1 Ba 0.0000 0.1676 0.0000 1
La1 La 0.0000 0.0000 0.5000 1
La2 La 0.0000 0.3360 0.5000 1
Se1 Se 0.2373 0.1688 0.7196 1
Se2 Se 0.2450 0.5000 0.7235 1
```



Copy entry 1 word for word.
The following is a simulated powder diffraction line list of Tb9Pm2Y3. It was derived from DFT lattice parameters and positions (GGA-PBE), using a wavelength of 1.5418 Å.

Top 8 peaks for 10 to 90 degrees two-theta, in order of rising 2θ:
2theta, intensity, index
31.03, 96, 0 3 0
31.10, 39, 2 -1 0
31.27, 100, 1 1 -2
31.42, 49, 2 -1 1
31.91, 84, 1 1 3
32.74, 65, -1 2 2
33.47, 42, 1 -2 2
34.60, 64, 2 2 1

Structural model:
```
data_Tb9Pm2Y3
_chemical_formula_sum 'Tb9 Pm2 Y3'
_cell_length_a 6.2475
_cell_length_b 8.7843
_cell_length_c 8.7913
_cell_angle_alpha 79.59
_cell_angle_beta 77.61
_cell_angle_gamma 87.72
_space_group_name_H-M_alt 'P -1'
_space_group_IT_number 2
_space_group_name_Hall '-P 1'
loop_
_atom_site_label
_atom_site_type_symbol
_atom_site_fract_x
_atom_site_fract_y
_atom_site_fract_z
_atom_site_occupancy
Tb1 Tb 0.0000 0.0000 0.0000 1
Tb2 Tb 0.0889 0.3131 0.1960 1
Tb3 Tb 0.1920 0.6150 0.3982 1
Tb4 Tb 0.3468 0.6652 0.9945 1
Tb5 Tb 0.4930 0.2482 0.4167 1
Pm1 Pm 0.4544 0.9696 0.2023 1
Y1 Y 0.0000 0.0000 0.5000 1
Y2 Y 0.2504 0.3781 0.7751 1
```